No. 1
For Gd2MgCr2O8, a crystal structure in the Materials Project, relaxed with GGA+U gives the computed X-ray diffraction stick pattern in this record (Cu Kα (weighted mean of Kα1 and Kα2)).

Atomic structure:
```
data_Gd2MgCr2O8
_chemical_formula_sum 'Gd2 Mg1 Cr2 O8'
_space_group_name_H-M_alt 'P 1'
_space_group_IT_number 1
_cell_length_a 6.044
_cell_length_b 6.102
_cell_length_c 6.242
_cell_angle_alpha 105.15
_cell_angle_beta 116.77
_cell_angle_gamma 105.49
loop_
_space_group_symop_operation_xyz
'x,y,z'
loop_
_atom_site_label
_atom_site_type_symbol
_atom_site_fract_x
_atom_site_fract_y
_atom_site_fract_z
Gd1 Gd 0.000 0.000 0.000
Gd2 Gd 0.263 0.538 0.810
Mg1 Mg 0.430 0.548 0.416
Cr1 Cr 0.530 0.063 0.538
Cr2 Cr 0.797 0.534 0.265
O1 O 0.004 0.377 0.269
O2 O 0.331 0.825 0.191
O3 O 0.371 0.268 0.541
O4 O 0.420 0.346 0.104
O5 O 0.507 0.853 0.704
O6 O 0.763 0.724 0.096
O7 O 0.886 0.673 0.609
O8 O 0.894 0.202 0.710
```

Principal peaks in the range 2θ = 15–90°, by intensity:
| 2theta | d_spacing | I_rel |
| --- | --- | --- |
| 23.7 | 3.748 | 100 |
| 24.2 | 3.676 | 97 |
| 32.2 | 2.782 | 81 |
| 33.0 | 2.714 | 41 |
| 33.2 | 2.698 | 38 |
| 48.8 | 1.865 | 34 |
| 48.6 | 1.873 | 33 |
| 34.0 | 2.635 | 29 |
| 17.8 | 4.994 | 26 |
| 34.3 | 2.614 | 26 |

***

No. 2
For KLi2FeO3, a crystal structure in the Materials Project, relaxed with GGA+U gives the computed X-ray diffraction stick pattern in this record (Cu Kα (weighted mean of Kα1 and Kα2)).

Atomic structure:
```
data_KLi2FeO3
_chemical_formula_sum 'K2 Li4 Fe2 O6'
_space_group_name_H-M_alt 'P 1'
_space_group_IT_number 1
_cell_length_a 5.491
_cell_length_b 5.498
_cell_length_c 6.151
_cell_angle_alpha 90.19
_cell_angle_beta 90.01
_cell_angle_gamma 106.57
loop_
_space_group_symop_operation_xyz
'x,y,z'
loop_
_atom_site_label
_atom_site_type_symbol
_atom_site_fract_x
_atom_site_fract_y
_atom_site_fract_z
K1 K 0.000 0.000 0.000
K2 K 0.357 0.353 0.497
Li1 Li 0.442 0.898 0.750
Li2 Li 0.454 0.908 0.249
Li3 Li 0.906 0.442 0.745
Li4 Li 0.911 0.448 0.245
Fe1 Fe 0.495 0.490 0.997
Fe2 Fe 0.866 0.859 0.498
O1 O 0.162 0.514 0.993
O2 O 0.198 0.835 0.496
O3 O 0.518 0.157 0.996
O4 O 0.679 0.674 0.247
O5 O 0.681 0.675 0.747
O6 O 0.845 0.193 0.492
```

Principal peaks in the range 2θ = 15–90°, by intensity:
| 2theta | d_spacing | I_rel |
| --- | --- | --- |
| 20.2 | 4.405 | 100 |
| 37.1 | 2.422 | 70 |
| 29.0 | 3.075 | 61 |
| 22.2 | 4.000 | 38 |
| 35.6 | 2.522 | 32 |
| 41.0 | 2.202 | 27 |
| 40.1 | 2.248 | 24 |
| 40.2 | 2.242 | 23 |
| 37.2 | 2.418 | 23 |
| 52.2 | 1.752 | 19 |

***

No. 3
For Na3NiAsCO7, a crystal structure in the Materials Project, relaxed with GGA+U gives the computed X-ray diffraction stick pattern in this record (Cu Kα (weighted mean of Kα1 and Kα2)).

Atomic structure:
```
data_Na3NiAsCO7
_chemical_formula_sum 'Na6 Ni2 As2 C2 O14'
_space_group_name_H-M_alt 'P 1 21/m 1'
_space_group_IT_number 11
_cell_length_a 5.254
_cell_length_b 6.851
_cell_length_c 9.078
_cell_angle_alpha 90.00
_cell_angle_beta 91.09
_cell_angle_gamma 90.00
loop_
_space_group_symop_operation_xyz
'x,y,z'
'-x,-y,-z'
'-x,y+1/2,-z'
'x,-y+1/2,z'
loop_
_atom_site_label
_atom_site_type_symbol
_atom_site_fract_x
_atom_site_fract_y
_atom_site_fract_z
Na1 Na 0.235 0.250 0.080
Na2 Na 0.250 0.505 0.740
Ni1 Ni 0.215 0.750 0.342
As1 As 0.295 0.250 0.418
C1 C 0.276 0.750 0.061
O1 O 0.054 0.750 0.123
O2 O 0.151 0.250 0.585
O3 O 0.218 0.053 0.307
O4 O 0.294 0.750 0.919
O5 O 0.378 0.750 0.550
O6 O 0.479 0.750 0.146
```

Principal peaks in the range 2θ = 15–90°, by intensity:
| 2theta | d_spacing | I_rel |
| --- | --- | --- |
| 26.0 | 3.425 | 100 |
| 32.8 | 2.732 | 83 |
| 34.1 | 2.626 | 70 |
| 32.6 | 2.744 | 52 |
| 48.1 | 1.891 | 44 |
| 19.4 | 4.584 | 42 |
| 25.7 | 3.467 | 42 |
| 29.3 | 3.047 | 37 |
| 23.6 | 3.767 | 37 |
| 36.9 | 2.434 | 36 |

***

No. 4
For Na3CaFeSi8O24, a crystal structure in the Materials Project, relaxed with GGA+U gives the computed X-ray diffraction stick pattern in this record (Cu Kα (weighted mean of Kα1 and Kα2)).

Atomic structure:
```
data_Na3CaFeSi8O24
_chemical_formula_sum 'Na6 Ca2 Fe2 Si16 O48'
_space_group_name_H-M_alt 'C 1 2 1'
_space_group_IT_number 5
_cell_length_a 10.314
_cell_length_b 9.136
_cell_length_c 10.560
_cell_angle_alpha 90.00
_cell_angle_beta 107.23
_cell_angle_gamma 90.00
loop_
_space_group_symop_operation_xyz
'x,y,z'
'-x,y,-z'
'x+1/2,y+1/2,z'
'-x+1/2,y+1/2,-z'
loop_
_atom_site_label
_atom_site_type_symbol
_atom_site_fract_x
_atom_site_fract_y
_atom_site_fract_z
Na1 Na 0.000 0.000 0.000
Na2 Na 0.005 0.439 0.255
Ca1 Ca 0.000 0.008 0.500
Fe1 Fe 0.000 0.643 0.000
Si1 Si 0.208 0.144 0.262
Si2 Si 0.211 0.314 0.516
Si3 Si 0.213 0.136 0.766
Si4 Si 0.213 0.317 0.008
O1 O 0.122 0.630 0.186
O2 O 0.124 0.802 0.963
O3 O 0.127 0.837 0.444
O4 O 0.131 0.601 0.685
O5 O 0.139 0.476 0.976
O6 O 0.142 0.218 0.870
O7 O 0.147 0.220 0.375
O8 O 0.147 0.975 0.724
O9 O 0.151 0.229 0.623
O10 O 0.157 0.482 0.482
O11 O 0.158 0.242 0.127
O12 O 0.158 0.976 0.226
```

Principal peaks in the range 2θ = 15–90°, by intensity:
| 2theta | d_spacing | I_rel |
| --- | --- | --- |
| 28.9 | 3.091 | 100 |
| 26.3 | 3.386 | 38 |
| 29.4 | 3.039 | 35 |
| 35.6 | 2.522 | 28 |
| 26.6 | 3.349 | 25 |
| 40.7 | 2.215 | 22 |
| 35.0 | 2.562 | 19 |
| 38.2 | 2.358 | 18 |
| 18.0 | 4.926 | 18 |
| 63.4 | 1.467 | 17 |